No. 1
For NiHgBiPt, the PBE geometry in OQMD gives the simulated PXRD pattern in this record (Cu Ka).
Neutral-atom scattering factors, no anomalous dispersion.

Peak list (12 most intense, 10° ≤ 2θ ≤ 90°, sorted by position)
d 3.874, I 8
d 3.355, I 6
d 2.372, I 100
d 2.023, I 5
d 1.937, I 2
d 1.678, I 18
d 1.539, I 2
d 1.500, I 3
d 1.370, I 36
d 1.291, I 2
d 1.186, I 12
d 1.134, I 2

Structure:
abc: 4.7449 4.7449 4.7449
angles: 60.00 60.00 60.00
Fractional coordinates of all 4 atoms:
Ni (0.0000, 0.0000, 0.0000)
Hg (0.2500, 0.2500, 0.2500)
Bi (0.7500, 0.7500, 0.7500)
Pt (0.5000, 0.5000, 0.5000)

No. 2
For HgBiSO, the PBE geometry in OQMD gives the simulated PXRD pattern in this record (Cu Ka).
Neutral-atom scattering factors, no anomalous dispersion.

Peak list (12 most intense, 10° ≤ 2θ ≤ 90°, sorted by position)
d 3.912, I 33
d 3.564, I 84
d 3.430, I 58
d 3.323, I 64
d 3.243, I 45
d 3.148, I 34
d 3.072, I 38
d 2.921, I 38
d 2.788, I 100
d 2.494, I 42
d 2.372, I 30
d 1.887, I 51

Structure:
abc: 7.1602 7.8250 6.3253
angles: 90.00 95.45 90.00
Fractional coordinates of all 16 atoms:
Hg (0.0540, 0.2331, 0.3704)
Hg (0.0540, 0.2669, 0.8704)
Hg (0.9460, 0.7331, 0.1296)
Hg (0.9460, 0.7669, 0.6296)
Bi (0.4571, 0.6190, 0.2575)
Bi (0.4571, 0.8810, 0.7575)
Bi (0.5429, 0.1190, 0.2425)
Bi (0.5429, 0.3810, 0.7425)
S (0.2269, 0.5730, 0.8238)
S (0.2269, 0.9270, 0.3238)
S (0.7731, 0.0730, 0.6762)
S (0.7731, 0.4270, 0.1762)
O (0.4011, 0.1739, 0.9214)
O (0.4011, 0.3261, 0.4214)
O (0.5989, 0.6739, 0.5786)
O (0.5989, 0.8261, 0.0786)

No. 3
For Sc4HgBi2, the PBE geometry in OQMD gives the simulated PXRD pattern in this record (Cu Ka).
Neutral-atom scattering factors, no anomalous dispersion.

Peak list (12 most intense, 10° ≤ 2θ ≤ 90°, sorted by position)
d 6.618, I 20
d 3.485, I 19
d 3.469, I 17
d 3.333, I 52
d 3.309, I 54
d 2.898, I 38
d 2.865, I 100
d 2.648, I 26
d 2.037, I 75
d 2.015, I 17
d 1.735, I 19
d 1.724, I 20

Structure:
abc: 7.0601 7.0601 4.0736
angles: 90.00 90.00 110.38
Fractional coordinates of all 7 atoms:
Sc (0.1754, 0.8246, 0.0000)
Sc (0.2102, 0.2102, 0.5000)
Sc (0.7898, 0.7898, 0.5000)
Sc (0.8246, 0.1754, 0.0000)
Hg (0.5000, 0.5000, 0.0000)
Bi (0.0000, 0.5000, 0.5000)
Bi (0.5000, 0.0000, 0.5000)

No. 4
For HgBiW2, the PBE geometry in OQMD gives the simulated PXRD pattern in this record (Cu Ka).
Neutral-atom scattering factors, no anomalous dispersion.

Peak list (4 most intense, 10° ≤ 2θ ≤ 90°, sorted by position)
d 2.423, I 100
d 1.713, I 18
d 1.399, I 37
d 1.212, I 12

Structure:
abc: 4.8464 4.8464 4.8464
angles: 60.00 60.00 60.00
Fractional coordinates of all 4 atoms:
Hg (0.0000, 0.0000, 0.0000)
Bi (0.7500, 0.7500, 0.7500)
W (0.2500, 0.2500, 0.2500)
W (0.5000, 0.5000, 0.5000)

No. 5
For Ho5Bi3, the PBE geometry in OQMD gives the simulated PXRD pattern in this record (Cu Ka).
Neutral-atom scattering factors, no anomalous dispersion.

Peak list (12 most intense, 10° ≤ 2θ ≤ 90°, sorted by position)
d 3.580, I 13
d 2.999, I 59
d 2.856, I 100
d 2.804, I 49
d 2.750, I 66
d 2.662, I 24
d 2.563, I 16
d 2.525, I 22
d 2.368, I 38
d 2.199, I 23
d 1.536, I 23
d 1.477, I 15

Structure:
abc: 8.1920 9.4706 11.9390
angles: 90.00 90.00 90.00
Fractional coordinates of all 32 atoms:
Ho (0.0229, 0.2500, 0.0108)
Ho (0.1463, 0.7500, 0.2841)
Ho (0.1848, 0.2500, 0.2814)
Ho (0.1923, 0.0639, 0.5589)
Ho (0.1923, 0.4361, 0.5589)
Ho (0.3077, 0.5639, 0.0589)
Ho (0.3077, 0.9361, 0.0589)
Ho (0.3152, 0.7500, 0.7814)
Ho (0.3537, 0.2500, 0.7841)
Ho (0.4771, 0.7500, 0.5108)
Ho (0.5229, 0.2500, 0.4892)
Ho (0.6463, 0.7500, 0.2159)
Ho (0.6848, 0.2500, 0.2186)
Ho (0.6923, 0.0639, 0.9411)
Ho (0.6923, 0.4361, 0.9411)
Ho (0.8077, 0.5639, 0.4411)
Ho (0.8077, 0.9361, 0.4411)
Ho (0.8152, 0.7500, 0.7186)
Ho (0.8537, 0.2500, 0.7159)
Ho (0.9771, 0.7500, 0.9892)
Bi (0.0661, 0.0036, 0.8257)
Bi (0.0661, 0.4964, 0.8257)
Bi (0.0945, 0.7500, 0.5424)
Bi (0.4055, 0.2500, 0.0424)
Bi (0.4339, 0.5036, 0.3257)
Bi (0.4339, 0.9964, 0.3257)
Bi (0.5661, 0.0036, 0.6743)
Bi (0.5661, 0.4964, 0.6743)
Bi (0.5945, 0.7500, 0.9576)
Bi (0.9055, 0.2500, 0.4576)
Bi (0.9339, 0.5036, 0.1743)
Bi (0.9339, 0.9964, 0.1743)

No. 6
For Ho5Bi3, the PBE geometry in OQMD gives the simulated PXRD pattern in this record (Cu Ka).
Neutral-atom scattering factors, no anomalous dispersion.

Peak list (12 most intense, 10° ≤ 2θ ≤ 90°, sorted by position)
d 3.585, I 23
d 3.003, I 94
d 2.941, I 28
d 2.857, I 100
d 2.807, I 62
d 2.753, I 96
d 2.674, I 39
d 2.637, I 24
d 2.524, I 43
d 2.448, I 24
d 2.362, I 51
d 2.205, I 24

Structure:
abc: 11.9452 9.4475 8.2295
angles: 90.00 90.00 90.00
Fractional coordinates of all 32 atoms:
Ho (0.0048, 0.2500, 0.0209)
Ho (0.0644, 0.0618, 0.6902)
Ho (0.0644, 0.4382, 0.6902)
Ho (0.2104, 0.7500, 0.3413)
Ho (0.2289, 0.2500, 0.3273)
Ho (0.2711, 0.7500, 0.8273)
Ho (0.2896, 0.2500, 0.8413)
Ho (0.4356, 0.5618, 0.1902)
Ho (0.4356, 0.9382, 0.1902)
Ho (0.4952, 0.7500, 0.5209)
Ho (0.5048, 0.2500, 0.4791)
Ho (0.5644, 0.0618, 0.8098)
Ho (0.5644, 0.4382, 0.8098)
Ho (0.7104, 0.7500, 0.1587)
Ho (0.7289, 0.2500, 0.1727)
Ho (0.7711, 0.7500, 0.6727)
Ho (0.7896, 0.2500, 0.6587)
Ho (0.9356, 0.5618, 0.3098)
Ho (0.9356, 0.9382, 0.3098)
Ho (0.9952, 0.7500, 0.9791)
Bi (0.0265, 0.7500, 0.6001)
Bi (0.1750, 0.5082, 0.0646)
Bi (0.1750, 0.9918, 0.0646)
Bi (0.3250, 0.0081, 0.5646)
Bi (0.3250, 0.4918, 0.5646)
Bi (0.4735, 0.2500, 0.1001)
Bi (0.5265, 0.7500, 0.8999)
Bi (0.6750, 0.5082, 0.4354)
Bi (0.6750, 0.9918, 0.4354)
Bi (0.8250, 0.0081, 0.9354)
Bi (0.8250, 0.4918, 0.9354)
Bi (0.9735, 0.2500, 0.3999)